The following is a theoretical X-ray powder pattern of La3HoGa2. It was derived from DFT lattice parameters and positions (PBE), using Cu Kα.
Lines closer than 0.1° are merged.

Main lines, sorted by position (5 to 70 degrees two-theta):
Position (°2θ)	d [Å]	I (rel.)
28.24	3.160	36
30.38	2.942	20
31.61	2.831	23
32.27	2.774	100
32.93	2.720	84
34.29	2.615	49
46.46	1.955	12
47.79	1.903	21
58.46	1.579	16
60.55	1.529	23

Cell and atoms:
a = 5.230 Å, b = 9.814 Å, c = 6.732 Å
α = 90.00°, β = 90.00°, γ = 90.00°
Atoms (fractional coordinates):
La 0.000 0.053 0.000
La 0.000 0.336 0.325
La 0.000 0.664 0.825
La 0.000 0.947 0.500
La 0.500 0.175 0.705
La 0.500 0.825 0.205
Ho 0.500 0.442 0.025
Ho 0.500 0.558 0.525
Ga 0.000 0.352 0.811
Ga 0.000 0.648 0.311
Ga 0.500 0.153 0.225
Ga 0.500 0.847 0.725

The following is a theoretical X-ray powder pattern of LaHoGa4. It was derived from DFT lattice parameters and positions (PBE), using Cu Kα.
Lines closer than 0.1° are merged.

Main lines, sorted by position (5 to 70 degrees two-theta):
Position (°2θ)	d [Å]	I (rel.)
23.96	3.715	6
27.61	3.231	33
32.04	2.793	100
36.87	2.438	53
42.41	2.132	41
47.87	1.900	25
51.35	1.779	12
57.43	1.605	29
61.52	1.507	13
65.85	1.418	19

Cell and atoms:
a = 4.263 Å, b = 4.263 Å, c = 14.858 Å
α = 90.00°, β = 90.00°, γ = 90.00°
Atoms (fractional coordinates):
La 0.000 0.000 0.000
La 0.500 0.500 0.500
Ho 0.000 0.500 0.250
Ho 0.500 0.000 0.750
Ga 0.000 0.000 0.415
Ga 0.000 0.000 0.585
Ga 0.000 0.500 0.668
Ga 0.000 0.500 0.832
Ga 0.500 0.000 0.168
Ga 0.500 0.000 0.332
Ga 0.500 0.500 0.085
Ga 0.500 0.500 0.915